CoH2CO3: computed X-ray powder pattern (CuKα), based on a PBE+U-relaxed structure.

Crystal structure
a b c (Å): 11.2200 11.2200 11.4236
angles (deg): 90.00 90.00 120.00
Space group R-3 (No. 148, hexagonal axes)
Asymmetric unit:
Co  0.0575  0.8426  0.4123 [18 per cell]
H  0.0660  0.8065  0.6429 [18 per cell]
H  0.0811  0.1858  0.8453 [18 per cell]
C  0.0013  0.7872  0.1513 [18 per cell]
O  0.0027  0.2908  0.9301 [18 per cell]
O  0.0487  0.8680  0.5932 [18 per cell]
O  0.0786  0.5738  0.8976 [18 per cell]

The 10 most intense peaks (10 to 80 degrees two-theta), by angle:
d 7.401, 11.96 deg, rel. 100; d 4.471, 19.86 deg, rel. 12; d 3.496, 25.48 deg, rel. 15; d 3.151, 28.33 deg, rel. 12; d 3.089, 28.90 deg, rel. 7; d 2.623, 34.18 deg, rel. 18; d 2.255, 39.98 deg, rel. 13; d 2.224, 40.56 deg, rel. 9; d 2.120, 42.64 deg, rel. 15; d 1.725, 53.09 deg, rel. 7